Theoretical XRD peak list of Ba2Sr6Ti7MnO22 for Cu Kα X-rays, from DFT lattice parameters and positions (GGA+U).
No peak broadening, texture or thermal motion is included.

Peak list (10 most intense, 2θ = 10–90°, sorted by position)
2θ/deg, Rel. int.
31.58, 23
31.74, 22
31.89, 100
39.17, 14
45.38, 36
46.08, 17
56.44, 19
56.64, 19
56.98, 16
66.67, 19

Cell and atoms:
```
data_Ba2Sr6Ti7MnO22
_cell_length_a 7.9938
_cell_length_b 7.9938
_cell_length_c 7.8797
_cell_angle_alpha 90.00
_cell_angle_beta 90.00
_cell_angle_gamma 90.27
_space_group_name_H-M_alt 'P 1'
_space_group_IT_number 1
loop_
_space_group_symop_operation_xyz
'x,y,z'
loop_
_atom_site_label
_atom_site_fract_x
_atom_site_fract_y
_atom_site_fract_z
_atom_site_occupancy
Ba1 0.2478 0.2478 0.0000 1
Ba2 0.7522 0.7522 0.0000 1
Sr1 0.2567 0.7433 0.0064 1
Sr2 0.2578 0.7422 0.4951 1
Sr3 0.2589 0.2589 0.4949 1
Sr4 0.7411 0.7411 0.4949 1
Sr5 0.7422 0.2578 0.4951 1
Sr6 0.7433 0.2567 0.0064 1
Ti1 0.0000 0.0000 0.7239 1
Ti2 0.0000 0.5000 0.2549 1
Ti3 0.0000 0.5000 0.7470 1
Ti4 0.5000 0.0000 0.2549 1
Ti5 0.5000 0.0000 0.7470 1
Ti6 0.5000 0.5000 0.2494 1
Ti7 0.5000 0.5000 0.7473 1
Mn1 0.0000 0.0000 0.2800 1
O1 0.0000 0.5000 0.4967 1
O2 0.0000 0.5000 0.9873 1
O3 0.0013 0.7563 0.7347 1
O4 0.0040 0.7418 0.2454 1
O5 0.2437 0.9987 0.7347 1
O6 0.2504 0.5016 0.7397 1
O7 0.2525 0.5012 0.2484 1
O8 0.2582 0.9960 0.2454 1
O9 0.4984 0.7496 0.7397 1
O10 0.4988 0.7475 0.2484 1
O11 0.5000 0.0000 0.4967 1
O12 0.5000 0.0000 0.9873 1
O13 0.5000 0.5000 0.4949 1
O14 0.5000 0.5000 0.9937 1
O15 0.5012 0.2525 0.2484 1
O16 0.5016 0.2504 0.7397 1
O17 0.7418 0.0040 0.2454 1
O18 0.7475 0.4988 0.2484 1
O19 0.7496 0.4984 0.7397 1
O20 0.7563 0.0013 0.7347 1
O21 0.9960 0.2582 0.2454 1
O22 0.9987 0.2437 0.7347 1
```